Record 1
Simulated powder diffraction line list of Mg2P2O7 for Cu Kα X-rays, from a structure optimized by DFT (PBE).
Peak positions follow from Bragg's law for the DFT cell and can differ from measured ones.

Largest 6 diffraction maxima, sorted by position, 5° ≤ 2θ ≤ 70°:
2θ/deg  I/Imax
21.18  28
29.25  59
29.35  100
30.50  61
44.15  24
57.68  24

Crystal structure
Unit cell a=5.318 b=5.318 c=4.551 alpha=98.44 beta=98.44 gamma=104.15
Atoms (fractional coordinates):
Mg: 0.188 0.812 0.000
Mg: 0.812 0.188 0.000
P: 0.281 0.281 0.594
P: 0.719 0.719 0.406
O: 0.120 0.120 0.288
O: 0.123 0.427 0.780
O: 0.427 0.123 0.780
O: 0.500 0.500 0.500
O: 0.573 0.877 0.220
O: 0.877 0.573 0.220
O: 0.880 0.880 0.712

Record 2
Simulated powder diffraction line list of MgPO4 for Cu Kα X-rays, from a structure optimized by DFT (PBE).
Peak positions follow from Bragg's law for the DFT cell and can differ from measured ones.

Largest 6 diffraction maxima, sorted by position, 5° ≤ 2θ ≤ 70°:
2θ/deg  I/Imax
9.81  100
12.11  41
16.88  27
18.96  37
30.64  29
31.12  30

Crystal structure
Unit cell a=10.241 b=10.241 c=8.923 alpha=105.62 beta=105.62 gamma=45.96
Atoms (fractional coordinates):
Mg: 0.000 0.500 0.500
Mg: 0.046 0.954 0.750
Mg: 0.079 0.295 0.940
Mg: 0.295 0.079 0.440
Mg: 0.500 0.000 0.000
Mg: 0.705 0.921 0.560
Mg: 0.921 0.705 0.060
Mg: 0.954 0.046 0.250
P: 0.081 0.725 0.415
P: 0.264 0.356 0.265
P: 0.275 0.919 0.085
P: 0.356 0.264 0.765
P: 0.644 0.736 0.235
P: 0.725 0.081 0.915
P: 0.736 0.644 0.735
P: 0.919 0.275 0.585
O: 0.000 0.180 0.736
O: 0.000 0.820 0.264
O: 0.052 0.279 0.542
O: 0.110 0.451 0.129
O: 0.136 0.637 0.963
O: 0.140 0.807 0.551
O: 0.180 0.000 0.236
O: 0.193 0.860 0.949
O: 0.199 0.451 0.708
O: 0.213 0.305 0.371
O: 0.263 0.515 0.370
O: 0.279 0.052 0.042
O: 0.305 0.213 0.871
O: 0.363 0.864 0.537
O: 0.451 0.110 0.629
O: 0.451 0.199 0.208
O: 0.485 0.737 0.130
O: 0.515 0.263 0.870
O: 0.549 0.801 0.792
O: 0.549 0.890 0.371
O: 0.637 0.136 0.463
O: 0.695 0.787 0.129
O: 0.721 0.948 0.958
O: 0.737 0.485 0.630
O: 0.787 0.695 0.629
O: 0.801 0.549 0.292
O: 0.807 0.140 0.051
O: 0.820 0.000 0.764
O: 0.860 0.193 0.449
O: 0.864 0.363 0.037
O: 0.890 0.549 0.871
O: 0.948 0.721 0.458

Record 3
Simulated powder diffraction line list of Mg2P2O7 for Cu Kα X-rays, from a structure optimized by DFT (PBE).
Peak positions follow from Bragg's law for the DFT cell and can differ from measured ones.

Largest 6 diffraction maxima, sorted by position, 5° ≤ 2θ ≤ 70°:
2θ/deg  I/Imax
21.18  19
29.35  100
29.73  49
35.17  11
42.58  14
57.86  13

Crystal structure
Unit cell a=7.026 b=8.387 c=9.170 alpha=90.00 beta=113.72 gamma=90.00
Atoms (fractional coordinates):
Mg: 0.199 0.058 0.326
Mg: 0.199 0.442 0.826
Mg: 0.267 0.071 0.889
Mg: 0.267 0.429 0.389
Mg: 0.733 0.571 0.611
Mg: 0.733 0.929 0.111
Mg: 0.801 0.558 0.174
Mg: 0.801 0.942 0.674
P: 0.030 0.727 0.967
P: 0.030 0.773 0.467
P: 0.442 0.730 0.259
P: 0.442 0.770 0.759
P: 0.558 0.230 0.241
P: 0.558 0.270 0.741
P: 0.970 0.227 0.533
P: 0.970 0.273 0.033
O: 0.017 0.091 0.655
O: 0.017 0.409 0.155
O: 0.052 0.611 0.396
O: 0.052 0.889 0.896
O: 0.125 0.236 0.454
O: 0.125 0.264 0.954
O: 0.248 0.670 0.101
O: 0.248 0.830 0.601
O: 0.380 0.239 0.298
O: 0.380 0.261 0.798
O: 0.387 0.613 0.814
O: 0.387 0.887 0.314
O: 0.478 0.595 0.381
O: 0.478 0.905 0.881
O: 0.522 0.095 0.119
O: 0.522 0.405 0.619
O: 0.613 0.113 0.686
O: 0.613 0.387 0.186
O: 0.620 0.739 0.202
O: 0.620 0.761 0.702
O: 0.752 0.170 0.399
O: 0.752 0.330 0.899
O: 0.875 0.736 0.046
O: 0.875 0.764 0.546
O: 0.948 0.111 0.104
O: 0.948 0.389 0.604
O: 0.983 0.591 0.845
O: 0.983 0.909 0.345

Record 4
Simulated powder diffraction line list of MgP2O10 for Cu Kα X-rays, from a structure optimized by DFT (PBE).
Peak positions follow from Bragg's law for the DFT cell and can differ from measured ones.

Largest 6 diffraction maxima, sorted by position, 5° ≤ 2θ ≤ 70°:
2θ/deg  I/Imax
21.67  79
22.71  100
23.07  44
24.95  52
33.74  47
37.65  40

Crystal structure
Unit cell a=5.431 b=9.481 c=8.365 alpha=90.00 beta=127.65 gamma=90.00
Atoms (fractional coordinates):
Mg: 0.000 0.000 0.000
Mg: 0.000 0.500 0.500
P: 0.308 0.170 0.638
P: 0.308 0.330 0.138
P: 0.692 0.670 0.862
P: 0.692 0.830 0.362
O: 0.022 0.127 0.640
O: 0.022 0.373 0.140
O: 0.046 0.531 0.207
O: 0.046 0.969 0.707
O: 0.248 0.089 0.436
O: 0.248 0.411 0.936
O: 0.260 0.176 0.093
O: 0.260 0.324 0.593
O: 0.384 0.616 0.689
O: 0.384 0.884 0.189
O: 0.616 0.116 0.811
O: 0.616 0.384 0.311
O: 0.740 0.676 0.407
O: 0.740 0.824 0.907
O: 0.752 0.589 0.064
O: 0.752 0.911 0.564
O: 0.954 0.031 0.293
O: 0.954 0.469 0.793
O: 0.978 0.627 0.860
O: 0.978 0.873 0.360